[1]
For Pm6Bi3C, a structure optimized by DFT (GGA-PBE) gives the calculated powder XRD pattern in this record (a wavelength of 1.5418 Å).

Peak list (10 most intense, 10 to 90 degrees two-theta, most intense first)
hkl	two_theta	d/Å	I/Imax
3 3 1	30.6	2.919	100
3 1 2	33.1	2.709	73
0 4 2	34.3	2.617	52
2 2 1	22.2	4.004	52
1 3 1	22.8	3.903	34
3 5 0	37.2	2.414	34
6 0 0	43.7	2.072	24
6 4 2	56.7	1.624	23
3 7 3	62.0	1.498	22
1 1 1	15.2	5.834	18

Atomic structure:
abc: 12.4325 14.8528 7.3766
angles: 90.00 90.00 90.00
Space group Cmc2_1 (No. 36)
Inequivalent atoms, fractional coordinates:
Pm1 0.0000 0.0481 0.0000
Pm2 0.0000 0.2248 0.4386
Pm3 0.1533 0.2584 0.9909
Pm4 0.1595 0.4665 0.4600
Bi1 0.0000 0.3883 0.7594
Bi2 0.1719 0.1010 0.6702
C1 0.0000 0.1929 0.1244

[2]
For PuBiC, a structure optimized by DFT (GGA-PBE) gives the calculated powder XRD pattern in this record (a wavelength of 1.5418 Å).

Peak list (10 most intense, 10 to 90 degrees two-theta, most intense first)
hkl	two_theta	d/Å	I/Imax
1 1 2	32.2	2.784	100
2 0 0	31.5	2.842	52
2 2 0	45.1	2.010	22
1 3 2	56.4	1.631	21
3 1 2	56.5	1.628	21
2 0 4	57.7	1.597	19
2 2 4	67.3	1.392	11
3 3 2	75.1	1.266	9
0 0 4	47.1	1.930	8
1 1 6	78.0	1.225	7

Atomic structure:
abc: 5.6753 5.6924 7.7209
angles: 90.00 90.00 90.00
Space group Cmme (No. 67)
Inequivalent atoms, fractional coordinates:
Pu1 0.0000 0.2500 0.1390
Bi1 0.0000 0.2500 0.6118
C1 0.2500 0.0000 0.0000

[3]
For Th4BiCS2, a structure optimized by DFT (GGA-PBE) gives the calculated powder XRD pattern in this record (a wavelength of 1.5418 Å).

Peak list (10 most intense, 10 to 90 degrees two-theta, most intense first)
hkl	two_theta	d/Å	I/Imax
1 1 2	28.0	3.185	100
2 1 1	29.7	3.007	60
1 2 1	28.6	3.117	48
2 2 0	34.3	2.617	30
1 3 2	43.8	2.066	23
3 2 3	57.0	1.615	20
1 1 0	16.9	5.235	19
0 2 4	51.3	1.779	19
3 0 1	39.4	2.287	18
4 1 1	53.8	1.703	16

Atomic structure:
abc: 7.1574 7.6766 8.0264
angles: 90.00 90.00 90.00
Space group I222 (No. 23)
Inequivalent atoms, fractional coordinates:
Th1 0.1778 0.2052 0.3422
Bi1 0.0000 0.0000 0.0000
C1 0.0000 0.0000 0.5000
S1 0.0000 0.5000 0.2126

[4]
For Sc5Bi2SbC, a structure optimized by DFT (GGA-PBE) gives the calculated powder XRD pattern in this record (a wavelength of 1.5418 Å).

Peak list (10 most intense, 10 to 90 degrees two-theta, most intense first)
hkl	two_theta	d/Å	I/Imax
1 1 0	28.4	3.138	100
1 0 2	26.3	3.394	95
1 1 3	38.5	2.340	79
2 0 0	40.7	2.219	65
1 1 2	33.2	2.696	52
2 1 2	49.1	1.857	37
1 1 7	69.2	1.357	37
1 0 0	20.0	4.438	34
2 0 4	54.0	1.697	32
0 0 4	34.0	2.634	31

Atomic structure:
abc: 4.4375 4.4375 10.5369
angles: 90.00 90.00 90.00
Space group P4/mmm (No. 123)
Inequivalent atoms, fractional coordinates:
Sc1 0.0000 0.0000 0.0000
Sc2 0.0000 0.5000 0.5000
Sc3 0.5000 0.5000 0.2780
Bi1 0.0000 0.0000 0.2867
Sb1 0.5000 0.5000 0.0000
C1 0.5000 0.5000 0.5000

[5]
For Sc5Bi2C, a structure optimized by DFT (GGA-PBE) gives the calculated powder XRD pattern in this record (a wavelength of 1.5418 Å).

Peak list (10 most intense, 10 to 90 degrees two-theta, most intense first)
hkl	two_theta	d/Å	I/Imax
2 2 1	36.3	2.472	100
0 1 3	24.2	3.680	70
1 1 1	18.8	4.709	63
1 0 5	34.8	2.574	63
2 1 1	26.7	3.343	52
0 2 0	28.1	3.171	50
2 2 2	38.2	2.355	50
1 2 2	33.0	2.712	49
3 0 2	35.3	2.540	48
1 1 2	22.0	4.035	44

Atomic structure:
abc: 8.2207 6.3429 13.5539
angles: 90.00 90.00 90.00
Space group Pnma (No. 62)
Inequivalent atoms, fractional coordinates:
Sc1 0.0000 0.0000 0.0000
Sc2 0.0551 0.2500 0.2008
Sc3 0.1365 0.5084 0.5999
Sc4 0.2259 0.7500 0.3950
Bi1 0.0617 0.7500 0.1987
Bi2 0.2071 0.2500 0.4060
C1 0.1815 0.2500 0.0514

[6]
For Sc6Bi2C, a structure optimized by DFT (GGA-PBE) gives the calculated powder XRD pattern in this record (a wavelength of 1.5418 Å).

Peak list (10 most intense, 10 to 90 degrees two-theta, most intense first)
hkl	two_theta	d/Å	I/Imax
2 0 2	33.8	2.649	100
2 0 0	27.5	3.244	62
1 1 0	19.3	4.588	60
2 2 0	39.3	2.290	35
4 2 2	67.8	1.382	26
2 2 4	56.7	1.623	23
3 1 0	44.2	2.049	22
3 1 2	48.7	1.871	19
0 0 4	39.1	2.302	18
2 0 6	67.6	1.387	13

Atomic structure:
abc: 6.4775 6.4775 9.2068
angles: 90.00 90.00 90.00
Space group I4/mmm (No. 139)
Inequivalent atoms, fractional coordinates:
Sc1 0.0000 0.0000 0.2440
Sc2 0.2457 0.2457 0.0000
Bi1 0.0000 0.5000 0.2500
C1 0.0000 0.0000 0.0000

[7]
For Sc3BiC, a structure optimized by DFT (GGA-PBE) gives the calculated powder XRD pattern in this record (a wavelength of 1.5418 Å).

Peak list (10 most intense, 10 to 90 degrees two-theta, most intense first)
hkl	two_theta	d/Å	I/Imax
3 1 -1	32.8	2.730	100
0 0 1	11.6	7.640	85
1 1 2	36.2	2.483	76
4 0 0	22.3	3.985	54
1 1 0	26.8	3.323	51
3 1 0	31.2	2.864	50
2 0 -3	35.9	2.499	47
4 0 2	34.1	2.630	40
4 0 1	26.2	3.397	39
1 1 1	29.5	3.026	29

Atomic structure:
abc: 16.0211 3.4001 7.6784
angles: 90.00 95.73 90.00
Space group C2/m (No. 12)
Inequivalent atoms, fractional coordinates:
Sc1 0.0530 0.0000 0.2229
Sc2 0.0924 0.5000 0.5518
Sc3 0.2357 0.5000 0.3230
Bi1 0.1303 0.5000 0.9333
C1 0.1627 0.0000 0.4319

[8]
For Sc3BiC, a structure optimized by DFT (GGA-PBE) gives the calculated powder XRD pattern in this record (a wavelength of 1.5418 Å).

Peak list (10 most intense, 10 to 90 degrees two-theta, most intense first)
hkl	two_theta	d/Å	I/Imax
1 1 0	32.6	2.750	100
0 1 2	34.2	2.622	87
0 1 1	24.1	3.691	66
0 0 1	13.7	6.453	59
1 0 -2	36.7	2.448	39
1 0 2	39.4	2.289	34
0 1 0	19.7	4.499	33
0 2 0	40.1	2.250	32
2 0 0	52.6	1.739	25
1 0 0	25.6	3.475	25

Atomic structure:
abc: 3.4828 4.4992 6.4675
angles: 90.00 93.86 90.00
Space group P2/m (No. 10)
Inequivalent atoms, fractional coordinates:
Sc1 0.0000 0.0000 0.0000
Sc2 0.4683 0.5000 0.7702
Bi1 0.0000 0.0000 0.5000
C1 0.0000 0.5000 0.0000

[9]
For Tm3ScBi2C, a structure optimized by DFT (GGA-PBE) gives the calculated powder XRD pattern in this record (a wavelength of 1.5418 Å).

Peak list (10 most intense, 10 to 90 degrees two-theta, most intense first)
hkl	two_theta	d/Å	I/Imax
1 1 4	35.4	2.535	100
1 1 0	27.0	3.303	44
1 1 2	29.3	3.048	42
0 2 0	37.7	2.386	29
2 0 0	39.4	2.288	26
0 0 6	34.0	2.636	26
1 1 10	65.4	1.426	22
2 2 0	55.7	1.651	20
0 0 4	22.5	3.954	18
1 3 4	66.6	1.404	16

Atomic structure:
abc: 4.5768 4.7714 15.8148
angles: 90.00 90.00 90.00
Space group Immm (No. 71)
Inequivalent atoms, fractional coordinates:
Tm1 0.0000 0.0000 0.0000
Tm2 0.0000 0.5000 0.1518
Sc1 0.0000 0.0000 0.5000
Bi1 0.0000 0.5000 0.3549
C1 0.0000 0.5000 0.0000

[10]
For Tb5Bi2CSe, a structure optimized by DFT (GGA-PBE) gives the calculated powder XRD pattern in this record (a wavelength of 1.5418 Å).

Peak list (10 most intense, 10 to 90 degrees two-theta, most intense first)
hkl	two_theta	d/Å	I/Imax
1 1 2	31.4	2.848	100
2 0 0	38.3	2.351	87
1 1 3	36.4	2.467	87
2 0 4	51.0	1.790	58
1 1 0	26.8	3.325	58
2 2 4	65.5	1.424	53
0 0 4	32.4	2.759	52
1 1 1	28.0	3.184	44
3 1 3	68.0	1.379	31
2 2 0	55.3	1.662	30

Atomic structure:
abc: 4.7022 4.7022 11.0373
angles: 90.00 90.00 90.00
Space group P4/mmm (No. 123)
Inequivalent atoms, fractional coordinates:
Tb1 0.0000 0.0000 0.0000
Tb2 0.0000 0.5000 0.5000
Tb3 0.5000 0.5000 0.2594
Bi1 0.0000 0.0000 0.2853
C1 0.5000 0.5000 0.5000
Se1 0.5000 0.5000 0.0000

[11]
For Tb4SiBiC, a structure optimized by DFT (GGA-PBE) gives the calculated powder XRD pattern in this record (a wavelength of 1.5418 Å).

Peak list (10 most intense, 10 to 90 degrees two-theta, most intense first)
hkl	two_theta	d/Å	I/Imax
2 4 0	35.1	2.559	100
2 2 0	28.7	3.112	85
2 0 2	37.5	2.400	65
2 6 2	51.9	1.763	40
2 10 0	66.0	1.416	34
0 6 0	34.5	2.598	32
4 4 2	66.1	1.413	16
1 1 0	14.2	6.216	15
0 2 1	17.3	5.123	14
0 2 0	11.4	7.793	13

Atomic structure:
abc: 6.7786 15.5860 6.7977
angles: 90.00 90.00 90.00
Space group Cmcm (No. 63)
Inequivalent atoms, fractional coordinates:
Tb1 0.0000 0.0823 0.2500
Tb2 0.0000 0.4046 0.2500
Tb3 0.2500 0.2500 0.0000
Si1 0.0000 0.1160 0.7500
Bi1 0.0000 0.3957 0.7500
C1 0.0000 0.2452 0.2500

[12]
For Sm4BiC, a structure optimized by DFT (GGA-PBE) gives the calculated powder XRD pattern in this record (a wavelength of 1.5418 Å).

Peak list (10 most intense, 10 to 90 degrees two-theta, most intense first)
hkl	two_theta	d/Å	I/Imax
1 1 2	30.8	2.905	100
1 2 1	28.3	3.153	77
2 0 0	35.7	2.516	40
1 5 2	57.0	1.615	31
1 3 0	33.4	2.685	30
0 2 2	29.9	2.986	27
0 2 0	18.6	4.761	26
0 3 1	30.5	2.933	21
1 0 2	29.3	3.050	17
2 3 3	59.2	1.561	17

Atomic structure:
abc: 5.0319 9.5224 7.6690
angles: 90.00 90.00 90.00
Space group Pmmn (No. 59, origin choice 2)
Inequivalent atoms, fractional coordinates:
Sm1 0.2500 0.0577 0.2158
Sm2 0.2500 0.2500 0.7133
Sm3 0.2500 0.7500 0.5678
Bi1 0.2500 0.7500 0.0005
C1 0.2500 0.2500 0.4033